No. 1
The following is a calculated X-ray diffraction stick pattern of Ce5Hg3. It was derived from a PBE-relaxed structure, using Cu Kα (weighted mean of Kα1 and Kα2).
Lines closer than 0.1° are merged.

Principal peaks in the range 10 to 90 degrees two-theta, sorted by position:
2θ (°)	d [Å]	I (rel.)
23.43	3.797	7.4
32.71	2.737	100.0
37.06	2.426	14.1
37.70	2.386	5.8
38.39	2.345	35.3
54.43	1.686	18.8
54.88	1.673	4.8
55.42	1.658	12.2
64.07	1.453	7.9
65.86	1.418	26.9
68.56	1.369	9.4
89.72	1.093	6.7

Structure:
```
Ce5Hg3
1.0
-2.3446 2.3446 9.7027
2.3446 -2.3446 9.7027
2.3446 2.3446 -9.7027
Ce Hg
5 3
Direct
0.0000 0.0000 0.0000
0.2276 0.2276 0.0000
0.6309 0.1309 0.5000
0.7724 0.7724 0.0000
0.8691 0.3691 0.5000
0.1186 0.6186 0.5000
0.3814 0.8814 0.5000
0.5000 0.5000 0.0000
```

---

No. 2
The following is a calculated X-ray diffraction stick pattern of CeHg7. It was derived from a PBE-relaxed structure, using Cu Kα (weighted mean of Kα1 and Kα2).
Lines closer than 0.1° are merged.

Principal peaks in the range 10 to 90 degrees two-theta, sorted by position:
2θ (°)	d [Å]	I (rel.)
19.59	4.532	0.6
32.96	2.717	100.0
37.52	2.397	17.7
38.61	2.332	32.9
54.93	1.672	23.9
55.74	1.649	11.5
64.83	1.438	14.6
66.30	1.410	27.4
69.14	1.359	12.2
80.07	1.198	2.1
82.77	1.166	3.8

Structure:
```
CeHg7
1.0
-2.3322 2.3322 9.5880
2.3322 -2.3322 9.5880
2.3322 2.3322 -9.5880
Ce Hg
1 7
Direct
0.0000 0.0000 0.0000
0.1255 0.6255 0.5000
0.2513 0.2513 0.0000
0.3745 0.8745 0.5000
0.5000 0.5000 0.0000
0.6255 0.1255 0.5000
0.7487 0.7487 0.0000
0.8745 0.3745 0.5000
```

---

No. 3
The following is a calculated X-ray diffraction stick pattern of Ce3HoHg4. It was derived from a PBE-relaxed structure, using Cu Kα (weighted mean of Kα1 and Kα2).
Lines closer than 0.1° are merged.

Principal peaks in the range 10 to 90 degrees two-theta, sorted by position:
2θ (°)	d [Å]	I (rel.)
33.04	2.711	100.0
34.27	2.617	47.1
45.55	1.991	9.3
49.24	1.850	17.1
58.22	1.585	18.0
60.59	1.528	35.6
69.32	1.356	10.7
72.20	1.308	5.5
76.19	1.250	6.8
81.72	1.178	7.8
82.41	1.170	7.9
89.66	1.093	5.8

Structure:
```
Ce3HoHg4
1.0
3.7008 0.0000 0.0000
0.0000 3.7008 0.0000
0.0000 0.0000 15.9306
Ce Ho Hg
3 1 4
Direct
0.0000 0.0000 0.0000
0.0000 0.0000 0.2561
0.0000 0.0000 0.7439
0.0000 0.0000 0.5000
0.5000 0.5000 0.1277
0.5000 0.5000 0.3879
0.5000 0.5000 0.6121
0.5000 0.5000 0.8723
```

---

No. 4
The following is a calculated X-ray diffraction stick pattern of Ce2HoHg3. It was derived from a PBE-relaxed structure, using Cu Kα (weighted mean of Kα1 and Kα2).
Lines closer than 0.1° are merged.

Principal peaks in the range 10 to 90 degrees two-theta, sorted by position:
2θ (°)	d [Å]	I (rel.)
25.23	3.530	2.2
32.95	2.718	100.0
35.98	2.496	40.6
42.43	2.130	11.6
51.79	1.765	14.5
56.82	1.620	19.9
62.77	1.480	31.8
69.11	1.359	11.1
71.62	1.318	8.8
76.29	1.248	4.7
85.64	1.134	7.0
87.35	1.116	6.9

Structure:
```
Ce2HoHg3
1.0
3.5302 0.0000 0.0000
0.0000 3.5302 0.0000
0.0000 0.0000 12.7813
Ce Ho Hg
2 1 3
Direct
0.0000 0.0000 0.1726
0.0000 0.0000 0.8274
0.0000 0.0000 0.5000
0.5000 0.5000 0.0000
0.5000 0.5000 0.3461
0.5000 0.5000 0.6539
```

---

No. 5
The following is a calculated X-ray diffraction stick pattern of CeHoMg2Hg4. It was derived from a PBE-relaxed structure, using Cu Kα (weighted mean of Kα1 and Kα2).
Lines closer than 0.1° are merged.

Principal peaks in the range 10 to 90 degrees two-theta, sorted by position:
2θ (°)	d [Å]	I (rel.)
21.27	4.178	17.0
24.56	3.624	35.8
34.92	2.569	100.0
35.11	2.556	100.0
50.36	1.812	35.8
62.51	1.486	18.0
62.86	1.478	37.0
62.98	1.476	18.6
73.76	1.285	11.2
74.19	1.278	11.7
84.39	1.148	16.1
84.70	1.144	16.7

Structure:
```
CeHoMg2Hg4
1.0
2.5563 1.4759 8.4117
-2.5563 1.4759 8.4117
0.0000 -2.9517 8.4117
Ce Ho Mg Hg
1 1 2 4
Direct
0.0000 0.0000 0.0000
0.5000 0.5000 0.5000
0.2494 0.2494 0.2494
0.7506 0.7506 0.7506
0.1273 0.1273 0.1273
0.3782 0.3782 0.3782
0.6218 0.6218 0.6218
0.8727 0.8727 0.8727
```

---

No. 6
The following is a calculated X-ray diffraction stick pattern of Ce2Hg2I7. It was derived from a PBE-relaxed structure, using Cu Kα (weighted mean of Kα1 and Kα2).
Lines closer than 0.1° are merged.

Principal peaks in the range 10 to 90 degrees two-theta, sorted by position:
2θ (°)	d [Å]	I (rel.)
15.92	5.569	70.8
23.97	3.712	70.9
24.85	3.583	75.8
25.54	3.488	49.5
27.23	3.275	75.1
28.46	3.136	43.0
29.79	2.999	55.2
31.59	2.832	31.4
32.10	2.788	100.0
35.69	2.516	73.0
43.64	2.074	36.2
50.13	1.820	54.2

Structure:
```
Ce2Hg2I7
1.0
-2.0741 7.7502 8.0063
2.0741 -7.7502 8.0063
2.0741 7.7502 -8.0063
Ce Hg I
2 2 7
Direct
0.2013 0.0000 0.2013
0.7987 0.0000 0.7987
0.2906 0.7906 0.5000
0.6818 0.6818 0.0000
0.0526 0.0526 0.0000
0.3166 0.4629 0.8537
0.3467 0.6483 0.6985
0.6093 0.4629 0.1463
0.7444 0.3713 0.3731
0.9498 0.6483 0.3015
0.9982 0.3713 0.6269
```

---

No. 7
The following is a calculated X-ray diffraction stick pattern of LiCeHgI6. It was derived from a PBE-relaxed structure, using Cu Kα (weighted mean of Kα1 and Kα2).
Lines closer than 0.1° are merged.

Principal peaks in the range 10 to 90 degrees two-theta, sorted by position:
2θ (°)	d [Å]	I (rel.)
18.39	4.824	48.9
26.54	3.359	100.0
29.83	2.995	15.2
34.63	2.590	60.6
38.18	2.357	17.5
40.92	2.206	43.1
45.31	2.001	22.8
49.44	1.844	17.0
54.65	1.679	16.0
66.05	1.415	13.5
68.10	1.377	18.9
70.48	1.336	14.6

Structure:
```
LiCeHgI6
1.0
7.6404 0.0000 0.0000
-3.8202 6.6168 0.0000
0.0000 0.0000 7.0491
Li Ce Hg I
1 1 1 6
Direct
0.0000 0.0000 0.0000
0.6667 0.3333 0.0000
0.3333 0.6667 0.5000
0.3260 0.0084 0.2474
0.3260 0.3176 0.7526
0.6824 0.0084 0.7526
0.6824 0.6740 0.2474
0.9916 0.3176 0.2474
0.9916 0.6740 0.7526
```

---

No. 8
The following is a calculated X-ray diffraction stick pattern of Ce2In9Hg. It was derived from a PBE-relaxed structure, using Cu Kα (weighted mean of Kα1 and Kα2).
Lines closer than 0.1° are merged.

Principal peaks in the range 10 to 90 degrees two-theta, sorted by position:
2θ (°)	d [Å]	I (rel.)
19.08	4.652	1.3
32.84	2.727	100.0
36.87	2.438	18.0
38.71	2.326	32.0
54.53	1.683	22.8
55.91	1.645	10.7
63.88	1.457	13.6
66.38	1.408	25.2
68.86	1.363	11.1
78.45	1.219	1.8
83.04	1.163	3.4
89.95	1.091	11.2

Structure:
```
Ce2In9Hg
1.0
4.6518 0.0000 0.0000
0.0000 4.6518 0.0000
0.0000 0.0000 14.6288
Ce In Hg
2 9 1
Direct
0.0000 0.0000 0.1627
0.0000 0.0000 0.8373
0.0000 0.5000 0.0000
0.0000 0.5000 0.3304
0.0000 0.5000 0.6696
0.5000 0.0000 0.0000
0.5000 0.0000 0.3304
0.5000 0.0000 0.6696
0.5000 0.5000 0.1595
0.5000 0.5000 0.5000
0.5000 0.5000 0.8405
0.0000 0.0000 0.5000
```

---

No. 9
The following is a calculated X-ray diffraction stick pattern of Ce2In4Hg. It was derived from a PBE-relaxed structure, using Cu Kα (weighted mean of Kα1 and Kα2).
Lines closer than 0.1° are merged.

Principal peaks in the range 10 to 90 degrees two-theta, sorted by position:
2θ (°)	d [Å]	I (rel.)
14.90	5.944	20.5
22.52	3.949	16.1
27.93	3.194	44.2
33.19	2.699	100.0
33.94	2.642	47.1
34.63	2.590	28.7
37.03	2.428	21.2
41.50	2.176	24.4
41.85	2.158	16.7
48.41	1.880	15.7
60.25	1.536	17.7
72.63	1.302	18.8

Structure:
```
Ce2In4Hg
1.0
0.0000 5.2833 5.9444
3.1395 0.0000 5.9444
3.1395 5.2833 0.0000
Ce In Hg
2 4 1
Direct
0.1149 0.1149 0.8851
0.8851 0.8851 0.1149
0.0000 0.0000 0.5000
0.2500 0.2500 0.2500
0.5000 0.5000 0.0000
0.7500 0.7500 0.7500
0.5000 0.5000 0.5000
```

---

No. 10
The following is a calculated X-ray diffraction stick pattern of Ce2In3Hg4. It was derived from a PBE-relaxed structure, using Cu Kα (weighted mean of Kα1 and Kα2).
Lines closer than 0.1° are merged.

Principal peaks in the range 10 to 90 degrees two-theta, sorted by position:
2θ (°)	d [Å]	I (rel.)
29.43	3.035	19.5
31.59	2.832	46.0
31.88	2.807	64.3
32.20	2.780	54.8
33.78	2.654	33.6
34.58	2.594	100.0
35.33	2.540	20.9
44.33	2.043	19.1
51.88	1.762	16.4
53.58	1.711	21.0
57.56	1.601	15.4
60.84	1.523	21.3

Structure:
```
Ce2In3Hg4
1.0
3.2023 -8.3451 0.0000
3.2023 8.3451 0.0000
0.0000 0.0000 8.8458
Ce In Hg
4 6 8
Direct
0.1133 0.8867 0.9195
0.3867 0.6133 0.4195
0.6133 0.3867 0.5805
0.8867 0.1133 0.0805
0.0000 0.0000 0.5000
0.0323 0.4677 0.7500
0.4677 0.0323 0.2500
0.5000 0.5000 0.0000
0.5323 0.9677 0.7500
0.9677 0.5323 0.2500
0.1773 0.8227 0.5446
0.2051 0.2949 0.7500
0.2949 0.2051 0.2500
0.3227 0.6773 0.0446
0.6773 0.3227 0.9554
0.7051 0.7949 0.7500
0.7949 0.7051 0.2500
0.8227 0.1773 0.4554
```

---

No. 11
The following is a calculated X-ray diffraction stick pattern of Ce3InHg2. It was derived from a PBE-relaxed structure, using Cu Kα (weighted mean of Kα1 and Kα2).
Lines closer than 0.1° are merged.

Principal peaks in the range 10 to 90 degrees two-theta, sorted by position:
2θ (°)	d [Å]	I (rel.)
12.63	7.008	1.8
32.74	2.736	100.0
37.70	2.386	34.3
38.54	2.336	16.0
54.38	1.687	11.9
55.01	1.669	22.9
64.94	1.436	27.9
66.07	1.414	13.2
68.62	1.368	11.8
80.51	1.193	4.0
82.60	1.168	1.8
89.65	1.094	6.2

Structure:
```
Ce3InHg2
1.0
3.3744 0.0000 0.0000
0.0000 3.3744 0.0000
0.0000 0.0000 14.0168
Ce In Hg
3 1 2
Direct
0.0000 0.0000 0.0000
0.0000 0.0000 0.3299
0.0000 0.0000 0.6701
0.5000 0.5000 0.5000
0.5000 0.5000 0.1652
0.5000 0.5000 0.8348
```

---

No. 12
The following is a calculated X-ray diffraction stick pattern of Ce3In2Hg8. It was derived from a PBE-relaxed structure, using Cu Kα (weighted mean of Kα1 and Kα2).
Lines closer than 0.1° are merged.

Principal peaks in the range 10 to 90 degrees two-theta, sorted by position:
2θ (°)	d [Å]	I (rel.)
24.93	3.572	26.0
29.17	3.061	25.2
30.25	2.954	24.3
33.30	2.690	21.5
33.69	2.660	73.0
34.24	2.619	100.0
35.49	2.530	49.9
36.40	2.468	33.0
37.90	2.374	38.7
38.74	2.324	19.8
54.66	1.679	36.9
60.49	1.531	38.9

Structure:
```
Ce3In2Hg8
1.0
3.0612 1.7674 11.2771
-3.0612 1.7674 11.2771
0.0000 -3.5348 11.2771
Ce In Hg
3 2 8
Direct
0.0000 0.0000 0.0000
0.1884 0.1884 0.1884
0.8116 0.8116 0.8116
0.3666 0.3666 0.3666
0.6334 0.6334 0.6334
0.2260 0.7261 0.7261
0.2739 0.2739 0.7740
0.2739 0.7740 0.2739
0.2819 0.2819 0.2819
0.7181 0.7181 0.7181
0.7261 0.2260 0.7261
0.7261 0.7261 0.2260
0.7740 0.2739 0.2739
```

---

No. 13
The following is a calculated X-ray diffraction stick pattern of Ce6InHg2. It was derived from a PBE-relaxed structure, using Cu Kα (weighted mean of Kα1 and Kα2).
Lines closer than 0.1° are merged.

Principal peaks in the range 10 to 90 degrees two-theta, sorted by position:
2θ (°)	d [Å]	I (rel.)
11.19	7.909	5.9
29.14	3.064	2.8
34.00	2.636	100.0
35.27	2.544	86.8
45.38	1.998	4.8
49.81	1.831	32.7
60.42	1.532	6.4
60.86	1.522	18.6
61.68	1.504	34.5
71.18	1.325	23.5
71.58	1.318	11.5
82.39	1.170	15.4

Structure:
```
Ce6InHg2
1.0
9.1328 0.0000 0.0000
-4.5664 7.9092 0.0000
0.0000 0.0000 3.0641
Ce In Hg
6 1 2
Direct
0.0000 0.3372 0.0000
0.0000 0.6628 0.0000
0.3372 0.0000 0.0000
0.3372 0.3372 0.0000
0.6628 0.0000 0.0000
0.6628 0.6628 0.0000
0.0000 0.0000 0.5000
0.3333 0.6667 0.5000
0.6667 0.3333 0.5000
```

---

No. 14
The following is a calculated X-ray diffraction stick pattern of Ce5InHg2. It was derived from a PBE-relaxed structure, using Cu Kα (weighted mean of Kα1 and Kα2).
Lines closer than 0.1° are merged.

Principal peaks in the range 10 to 90 degrees two-theta, sorted by position:
2θ (°)	d [Å]	I (rel.)
32.32	2.770	55.8
33.68	2.661	100.0
46.35	1.959	20.5
50.33	1.813	8.1
58.51	1.577	41.0
61.09	1.517	18.0
67.64	1.385	6.6
70.82	1.330	11.6
76.97	1.239	9.2
77.73	1.229	9.0
83.75	1.155	7.5
88.93	1.101	6.7

Structure:
```
Ce5InHg2
1.0
-3.9176 3.9176 3.6257
3.9176 -3.9176 3.6257
3.9176 3.9176 -3.6257
Ce In Hg
5 1 2
Direct
0.0000 0.0000 0.0000
0.0000 0.0000 0.5000
0.0000 0.5000 0.0000
0.5000 0.0000 0.0000
0.5000 0.5000 0.5000
0.5000 0.5000 0.0000
0.0000 0.5000 0.5000
0.5000 0.0000 0.5000
```